Entry 1:
For Ag2As3O8, a structure optimized by DFT (PBE) gives the theoretical powder XRD pattern in this record (Cu Kα).
Lines closer than 0.1° are merged.

Cell and atoms:
Cell lengths 11.749, 6.036, 4.980 Å; angles 90.00, 105.25, 90.00 degrees
Space group C2/m (No. 12)
Asymmetric unit:
Ag  0.226  0.000  0.148
As  0.000  0.233  0.500
As  0.000  0.500  0.000
O  0.089  0.281  0.875
O  0.092  0.500  0.377
O  0.096  0.000  0.443

Main lines, in order of rising 2θ (10° ≤ 2θ ≤ 90°):
- 4.259 Å, intensity 343
- 3.367 Å, intensity 983
- 3.266 Å, intensity 401
- 2.990 Å, intensity 1000
- 2.834 Å, intensity 474
- 2.664 Å, intensity 630
- 2.556 Å, intensity 465
- 2.459 Å, intensity 395
- 2.046 Å, intensity 434
- 1.778 Å, intensity 548

Entry 2:
For DyMgBi2, a structure optimized by DFT (PBE) gives the theoretical powder XRD pattern in this record (Cu Kα).
Lines closer than 0.1° are merged.

Cell and atoms:
Cell lengths 4.574, 4.574, 10.804 Å; angles 90.00, 90.00, 90.00 degrees
Space group P4/nmm (No. 129, origin choice 2)
Asymmetric unit:
Dy  0.250  0.250  0.222
Mg  0.250  0.750  0.500
Bi  0.250  0.250  0.690
Bi  0.250  0.750  0.000

Main lines, in order of rising 2θ (10° ≤ 2θ ≤ 90°):
- 3.601 Å, intensity 137
- 3.491 Å, intensity 242
- 3.099 Å, intensity 242
- 2.775 Å, intensity 1000
- 2.326 Å, intensity 207
- 2.287 Å, intensity 369
- 1.745 Å, intensity 124
- 1.631 Å, intensity 141
- 1.617 Å, intensity 128
- 1.397 Å, intensity 253